# 1
For KNiPO4, a DFT-relaxed cell (GGA+U, the Materials Project) gives the calculated powder XRD pattern in this record (Cu Kα, 1.54184 Å).
Neutral-atom scattering factors, no anomalous dispersion.

Largest 8 diffraction maxima, sorted by position, 2θ from 15° to 90°:
2θ/deg, Rel. int., hkl
22.66, 34.5, 1 1 1
28.10, 86.5, 1 2 1
28.85, 100.0, 2 1 1
32.24, 42.8, 3 1 0
33.36, 40.7, 2 2 1
33.91, 40.1, 0 3 1
35.48, 32.3, 1 3 1
49.18, 41.2, 3 1 2

Atomic structure:
Cell: 8.7215 9.3630 4.9747 Å, 90.00 90.00 90.00°
Space group Pna2_1 (No. 33)
Inequivalent atoms, fractional coordinates:
K (0.0010, 0.1833, 0.0000) [4 per cell]
Ni (0.1546, 0.5422, 0.9795) [4 per cell]
P (0.2094, 0.3740, 0.5445) [4 per cell]
O (0.0474, 0.4160, 0.6670) [4 per cell]
O (0.1833, 0.9820, 0.1913) [4 per cell]
O (0.2127, 0.3871, 0.2355) [4 per cell]
O (0.2454, 0.2183, 0.6245) [4 per cell]


# 2
For Li9Mn7O16, a DFT-relaxed cell (GGA+U, the Materials Project) gives the calculated powder XRD pattern in this record (Cu Kα, 1.54184 Å).
Neutral-atom scattering factors, no anomalous dispersion.

Largest 8 diffraction maxima, sorted by position, 2θ from 15° to 90°:
2θ/deg, Rel. int., hkl
18.24, 100.0, 0 1 1
33.97, 17.8, 1 0 -4
36.17, 11.2, 0 1 -7
36.34, 11.5, 1 0 4
40.74, 34.5, -1 1 5
44.21, 53.1, 1 1 5
61.82, 8.2, 2 0 0
62.03, 8.1, 1 -3 1

Atomic structure:
Cell: 3.0109 5.0987 19.4574 Å, 92.64 94.09 91.84°
Space group P-1 (No. 2)
Inequivalent atoms, fractional coordinates:
Li (0.0000, 0.0000, 0.0000) [1 per cell]
Li (0.9996, 0.1246, 0.3747) [2 per cell]
Li (0.0044, 0.3674, 0.1211) [2 per cell]
Li (0.4968, 0.2556, 0.2503) [2 per cell]
Li (0.5000, 0.0000, 0.5000) [1 per cell]
Li (0.5000, 0.5000, 0.0000) [1 per cell]
Mn (0.0000, 0.5000, 0.5000) [1 per cell]
Mn (0.0081, 0.7468, 0.2478) [2 per cell]
Mn (0.4970, 0.1180, 0.8799) [2 per cell]
Mn (0.5001, 0.3752, 0.6258) [2 per cell]
O (0.0238, 0.2864, 0.9292) [2 per cell]
O (0.0252, 0.0310, 0.1816) [2 per cell]
O (0.0305, 0.4516, 0.3109) [2 per cell]
O (0.0328, 0.2052, 0.5618) [2 per cell]
O (0.4660, 0.4136, 0.8126) [2 per cell]
O (0.4681, 0.6694, 0.5639) [2 per cell]
O (0.4709, 0.9197, 0.3122) [2 per cell]
O (0.4917, 0.1700, 0.0683) [2 per cell]


# 3
For Li9Mn2Co5O16, a DFT-relaxed cell (GGA+U, the Materials Project) gives the calculated powder XRD pattern in this record (Cu Kα, 1.54184 Å).
Neutral-atom scattering factors, no anomalous dispersion.

Largest 8 diffraction maxima, sorted by position, 2θ from 15° to 90°:
2θ/deg, Rel. int., hkl
18.36, 100.0, 1 0 0
35.54, 14.7, 0 2 -2
36.14, 13.9, -1 2 2
36.27, 12.5, 0 0 4
42.94, 29.1, 1 2 -2
43.75, 27.3, -2 2 2
44.05, 26.5, 1 0 4
63.34, 14.7, 0 2 -6

Atomic structure:
Cell: 5.1150 5.8848 10.0807 Å, 90.91 99.96 105.97°
Space group P-1 (No. 2)
Inequivalent atoms, fractional coordinates:
Li (0.0000, 0.0000, 0.0000) [1 per cell]
Li (0.4966, 0.3752, 0.1201) [2 per cell]
Li (0.4975, 0.8786, 0.1193) [2 per cell]
Li (0.4992, 0.1214, 0.3749) [2 per cell]
Li (0.4990, 0.3740, 0.6254) [2 per cell]
Mn (0.0065, 0.7569, 0.2488) [2 per cell]
Co (0.0000, 0.0000, 0.5000) [1 per cell]
Co (0.0000, 0.5000, 0.0000) [1 per cell]
Co (0.0000, 0.5000, 0.5000) [1 per cell]
Co (0.0019, 0.7534, 0.7592) [2 per cell]
O (0.2144, 0.5358, 0.6815) [2 per cell]
O (0.2184, 0.3172, 0.4341) [2 per cell]
O (0.2229, 0.0642, 0.6881) [2 per cell]
O (0.2259, 0.3181, 0.9274) [2 per cell]
O (0.2311, 0.5679, 0.1896) [2 per cell]
O (0.2329, 0.0464, 0.1950) [2 per cell]
O (0.2351, 0.7953, 0.9280) [2 per cell]
O (0.2348, 0.8228, 0.4315) [2 per cell]